For Sc5Pt4, a DFT-relaxed cell (PBE, Alexandria) gives the theoretical X-ray diffraction stick pattern in this record (a wavelength of 1.5418 Å).
No peak broadening, texture or thermal motion is included.

Structure:
Cell lengths 8.3056, 8.3056, 5.6780 Å; angles 90.00, 90.00, 120.00 degrees
Fractional coordinates of all 18 atoms:
Sc1 0.0000 0.2842 0.2500
Sc2 0.0000 0.7158 0.7500
Sc3 0.2842 0.0000 0.2500
Sc4 0.2842 0.2842 0.7500
Sc5 0.3333 0.6667 0.0000
Sc6 0.3333 0.6667 0.5000
Sc7 0.6667 0.3333 0.0000
Sc8 0.6667 0.3333 0.5000
Sc9 0.7158 0.0000 0.7500
Sc10 0.7158 0.7158 0.2500
Pt1 0.0000 0.0000 0.0000
Pt2 0.0000 0.0000 0.5000
Pt3 0.0000 0.3923 0.7500
Pt4 0.0000 0.6077 0.2500
Pt5 0.3923 0.0000 0.7500
Pt6 0.3923 0.3923 0.2500
Pt7 0.6077 0.0000 0.2500
Pt8 0.6077 0.6077 0.7500

The 8 most intense peaks (2θ from 10° to 80°), by intensity:
two_theta  I (rel.)
38.41  100
37.51  82
26.59  74
24.76  63
36.65  57
48.36  46
68.30  36
71.37  28

***

For Sc3Pt4, a DFT-relaxed cell (PBE, Alexandria) gives the theoretical X-ray diffraction stick pattern in this record (a wavelength of 1.5418 Å).
No peak broadening, texture or thermal motion is included.

Structure:
Cell lengths 7.4139, 7.4139, 7.4139 Å; angles 113.95, 113.95, 113.95 degrees
Fractional coordinates of all 14 atoms:
Sc1 0.0120 0.2699 0.4016
Sc2 0.2699 0.4016 0.0120
Sc3 0.4016 0.0120 0.2699
Sc4 0.5984 0.9880 0.7301
Sc5 0.7301 0.5984 0.9880
Sc6 0.9880 0.7301 0.5984
Pt1 0.0000 0.0000 0.0000
Pt2 0.0740 0.5486 0.2379
Pt3 0.2379 0.0740 0.5486
Pt4 0.4514 0.7621 0.9260
Pt5 0.5000 0.5000 0.5000
Pt6 0.5486 0.2379 0.0740
Pt7 0.7621 0.9260 0.4514
Pt8 0.9260 0.4514 0.7621

The 8 most intense peaks (2θ from 10° to 80°), by intensity:
two_theta  I (rel.)
38.31  100
39.20  86
27.14  69
55.97  24
69.86  22
39.93  17
24.81  16
44.49  15